Structure and calculated X-ray powder pattern of Sr3VB2O8 (a structure optimized by DFT (PBE+U); Cu Kα).
Kinematic intensities with the Lorentz-polarization factor, no thermal factor.

Main lines, low angle first (10° ≤ 2θ ≤ 80°):
23.6 deg, I 456; 32.9 deg, I 897; 34.2 deg, I 1000; 39.8 deg, I 205; 42.0 deg, I 444; 48.2 deg, I 549; 53.5 deg, I 202; 60.5 deg, I 296; 61.3 deg, I 172; 72.1 deg, I 177

Structural model:
```
14
Lattice="5.239 0.000 0.000 -2.619 4.537 0.000 0.000 0.000 6.799" Properties=species:S:1:pos:R:3 pbc="T T T"
Sr 0.000 0.000 0.000
Sr 0.000 3.025 4.677
Sr 2.619 1.512 2.122
V 0.000 0.000 3.400
B 0.000 3.025 1.637
B 2.619 1.512 5.162
O 0.000 1.598 2.234
O -1.236 3.738 2.234
O 0.000 3.025 0.248
O 1.384 0.799 4.566
O 1.236 3.738 2.234
O 2.619 1.512 6.551
O 3.855 0.799 4.566
O 2.619 2.939 4.566
```